# 1
The following is a calculated powder diffractogram of NdHo2Er5Th. It was derived from a PBE-relaxed structure, using CuKα.
Neutral-atom scattering factors, no anomalous dispersion.

Cell and atoms:
```
NdHo2Er5Th
1.0
-4.377 4.377 7.455
4.377 -4.377 7.455
4.377 4.377 -7.455
Nd Ho Er Th
2 4 10 2
direct
0.250 0.750 0.500
0.750 0.250 0.500
0.115 0.615 0.729
0.385 0.115 0.500
0.615 0.885 0.500
0.885 0.385 0.271
0.000 0.000 0.000
0.072 0.157 0.500
0.157 0.657 0.085
0.343 0.428 0.500
0.428 0.928 0.085
0.500 0.500 0.000
0.572 0.072 0.915
0.657 0.572 0.500
0.843 0.343 0.915
0.928 0.843 0.500
0.250 0.250 0.000
0.750 0.750 0.000
```

Largest 6 diffraction maxima, sorted by position, 2θ = 10–80°:
| 2θ (°) | Rel. int. |
| --- | --- |
| 28.85 | 52.5 |
| 29.03 | 45.6 |
| 31.53 | 100.0 |
| 32.34 | 18.8 |
| 43.05 | 22.8 |
| 52.83 | 21.4 |

# 2
The following is a calculated powder diffractogram of Nd2Ho4ErTh. It was derived from a PBE-relaxed structure, using CuKα.
Neutral-atom scattering factors, no anomalous dispersion.

Cell and atoms:
```
Nd2Ho4ErTh
1.0
5.883 0.000 0.000
0.000 5.883 0.000
0.000 0.000 7.464
Nd Ho Er Th
2 4 1 1
direct
0.000 0.000 0.000
0.500 0.500 0.500
0.000 0.500 0.250
0.000 0.500 0.750
0.500 0.000 0.250
0.500 0.000 0.750
0.000 0.000 0.500
0.500 0.500 0.000
```

Largest 6 diffraction maxima, sorted by position, 2θ = 10–80°:
| 2θ (°) | Rel. int. |
| --- | --- |
| 30.39 | 58.3 |
| 32.22 | 100.0 |
| 43.51 | 22.0 |
| 55.17 | 44.1 |
| 58.59 | 18.4 |
| 67.43 | 12.1 |

# 3
The following is a calculated powder diffractogram of NdHoErTl. It was derived from a PBE-relaxed structure, using CuKα.
Neutral-atom scattering factors, no anomalous dispersion.

Cell and atoms:
```
NdHoErTl
1.0
4.832 0.000 0.000
0.000 4.902 0.000
0.000 0.000 4.917
Nd Ho Er Tl
1 1 1 1
direct
0.000 0.000 0.000
0.500 0.500 0.000
0.500 0.000 0.500
0.000 0.500 0.500
```

Largest 6 diffraction maxima, sorted by position, 2θ = 10–80°:
| 2θ (°) | Rel. int. |
| --- | --- |
| 31.74 | 100.0 |
| 36.55 | 17.2 |
| 36.67 | 17.0 |
| 37.21 | 16.3 |
| 53.19 | 23.6 |
| 62.80 | 14.4 |

# 4
The following is a calculated powder diffractogram of Nd6HoErTm2. It was derived from a PBE-relaxed structure, using CuKα.
Neutral-atom scattering factors, no anomalous dispersion.

Cell and atoms:
```
Nd6HoErTm2
1.0
4.626 -7.633 0.000
4.626 7.633 0.000
-1.237 0.000 9.523
Nd Ho Er Tm
12 2 2 4
direct
0.009 0.563 0.187
0.115 0.764 0.554
0.236 0.885 0.946
0.293 0.511 0.382
0.437 0.991 0.313
0.489 0.707 0.118
0.511 0.293 0.882
0.563 0.009 0.687
0.707 0.489 0.618
0.764 0.115 0.054
0.885 0.236 0.446
0.991 0.437 0.813
0.411 0.589 0.750
0.589 0.411 0.250
0.029 0.971 0.250
0.971 0.029 0.750
0.200 0.297 0.047
0.297 0.200 0.547
0.703 0.800 0.453
0.800 0.703 0.953
```

Largest 6 diffraction maxima, sorted by position, 2θ = 10–80°:
| 2θ (°) | Rel. int. |
| --- | --- |
| 28.29 | 41.6 |
| 30.09 | 53.0 |
| 30.49 | 62.7 |
| 30.86 | 36.7 |
| 31.09 | 100.0 |
| 33.64 | 35.3 |

# 5
The following is a calculated powder diffractogram of Nd2Ho5ErTm. It was derived from a PBE-relaxed structure, using CuKα.
Neutral-atom scattering factors, no anomalous dispersion.

Cell and atoms:
```
Nd2Ho5ErTm
1.0
-4.268 4.268 7.911
4.268 -4.268 7.911
4.268 4.268 -7.911
Nd Ho Er Tm
4 10 2 2
direct
0.119 0.619 0.737
0.381 0.119 0.500
0.619 0.881 0.500
0.881 0.381 0.263
0.000 0.000 0.000
0.073 0.144 0.500
0.144 0.644 0.071
0.356 0.427 0.500
0.427 0.927 0.071
0.500 0.500 0.000
0.573 0.073 0.929
0.644 0.573 0.500
0.856 0.356 0.929
0.927 0.856 0.500
0.250 0.250 0.000
0.750 0.750 0.000
0.250 0.750 0.500
0.750 0.250 0.500
```

Largest 6 diffraction maxima, sorted by position, 2θ = 10–80°:
| 2θ (°) | Rel. int. |
| --- | --- |
| 28.87 | 40.9 |
| 29.60 | 52.7 |
| 30.82 | 100.0 |
| 38.45 | 13.2 |
| 53.29 | 25.6 |
| 55.56 | 12.4 |

# 6
The following is a calculated powder diffractogram of NdYHo5Er2. It was derived from a PBE-relaxed structure, using CuKα.
Neutral-atom scattering factors, no anomalous dispersion.

Cell and atoms:
```
NdYHo5Er2
1.0
2.792 -9.848 0.000
2.792 9.848 0.000
0.000 0.000 10.578
Nd Y Ho Er
2 2 10 4
direct
0.084 0.916 0.500
0.916 0.084 0.000
0.299 0.701 0.060
0.701 0.299 0.560
0.022 0.978 0.785
0.111 0.889 0.070
0.201 0.799 0.758
0.218 0.782 0.358
0.482 0.518 0.073
0.518 0.482 0.573
0.782 0.218 0.858
0.799 0.201 0.258
0.889 0.111 0.570
0.978 0.022 0.285
0.386 0.614 0.367
0.390 0.610 0.783
0.610 0.390 0.283
0.614 0.386 0.867
```

Largest 6 diffraction maxima, sorted by position, 2θ = 10–80°:
| 2θ (°) | Rel. int. |
| --- | --- |
| 28.47 | 17.1 |
| 30.32 | 36.6 |
| 32.06 | 43.4 |
| 32.56 | 100.0 |
| 57.46 | 21.6 |
| 60.29 | 14.4 |

# 7
The following is a calculated powder diffractogram of NdY2HoEr2. It was derived from a PBE-relaxed structure, using CuKα.
Neutral-atom scattering factors, no anomalous dispersion.

Cell and atoms:
```
NdY2HoEr2
1.0
6.501 0.000 0.000
0.000 17.830 0.000
0.000 0.000 3.409
Nd Y Ho Er
2 4 2 4
direct
0.000 0.000 0.000
0.500 0.500 0.500
0.221 0.188 0.000
0.279 0.688 0.500
0.721 0.312 0.500
0.779 0.812 0.000
0.000 0.500 0.000
0.500 0.000 0.500
0.218 0.353 0.500
0.282 0.853 0.000
0.718 0.147 0.000
0.782 0.647 0.500
```

Largest 6 diffraction maxima, sorted by position, 2θ = 10–80°:
| 2θ (°) | Rel. int. |
| --- | --- |
| 29.24 | 100.0 |
| 30.07 | 87.9 |
| 30.22 | 86.0 |
| 31.28 | 58.7 |
| 34.14 | 82.2 |
| 35.92 | 58.8 |

# 8
The following is a calculated powder diffractogram of HoEr3Ni3. It was derived from a PBE-relaxed structure, using CuKα.
Neutral-atom scattering factors, no anomalous dispersion.

Cell and atoms:
```
HoEr3Ni3
1.0
4.449 -4.977 0.000
4.449 4.977 0.000
-0.174 0.000 6.756
Ho Er Ni
2 6 6
direct
0.243 0.243 0.379
0.757 0.757 0.621
0.164 0.164 0.874
0.251 0.749 0.500
0.324 0.676 0.000
0.676 0.324 0.000
0.749 0.251 0.500
0.836 0.836 0.126
0.004 0.515 0.789
0.442 0.442 0.687
0.485 0.996 0.211
0.515 0.004 0.789
0.558 0.558 0.313
0.996 0.485 0.211
```

Largest 6 diffraction maxima, sorted by position, 2θ = 10–80°:
| 2θ (°) | Rel. int. |
| --- | --- |
| 26.89 | 66.9 |
| 31.52 | 55.1 |
| 33.73 | 61.1 |
| 36.10 | 60.8 |
| 37.64 | 100.0 |
| 39.58 | 57.8 |